# 1
# Pr2SmErTm
Calculated powder XRD pattern, Cu Kα, 1.54184 Å. Input: a crystal structure in Alexandria, relaxed with GGA-PBE.
Neutral-atom scattering factors, no anomalous dispersion.

The 12 most intense peaks (15 to 90 degrees two-theta), in order of rising 2θ:
2theta	d (Å)	I (rel.)
26.0	3.421	45
27.6	3.231	30
28.8	3.096	48
30.9	2.892	59
32.3	2.774	100
32.6	2.747	27
35.4	2.535	46
39.5	2.280	33
45.3	2.002	69
49.7	1.834	29
59.7	1.549	28
65.3	1.429	32

a = 8.4835 Å, b = 11.5689 Å, c = 7.3316 Å
α = 90.00°, β = 90.00°, γ = 90.00°
Space group Cmcm (No. 63)
Symmetry-distinct sites (fractional):
Pr 0.1952 0.0000 0.0000 x8
Sm 0.0000 0.2251 0.2500 x4
Er 0.0000 0.2326 0.7500 x4
Tm 0.0000 0.4922 0.2500 x4

***

# 2
# AcPr4Nd3Te8
Calculated powder XRD pattern, Cu Kα, 1.54184 Å. Input: a crystal structure in Alexandria, relaxed with GGA-PBE.
Neutral-atom scattering factors, no anomalous dispersion.

The 12 most intense peaks (15 to 90 degrees two-theta), in order of rising 2θ:
2theta	d (Å)	I (rel.)
24.0	3.714	2
27.7	3.216	100
39.6	2.274	77
46.8	1.939	1
49.0	1.858	21
49.1	1.854	7
57.3	1.608	13
64.8	1.438	36
71.9	1.313	20
72.0	1.311	7
85.3	1.138	4
85.5	1.136	4

a = 9.1028 Å, b = 9.1028 Å, c = 22.2493 Å
α = 90.00°, β = 90.00°, γ = 120.00°
Space group R-3m (No. 166, hexagonal axes)
Symmetry-distinct sites (fractional):
Ac 0.0000 0.0000 0.0000 x3
Pr 0.0000 0.0000 0.5000 x3
Pr 0.0000 0.5000 0.5000 x9
Nd 0.0000 0.5000 0.0000 x9
Te 0.0000 0.0000 0.2509 x6
Te 0.0064 0.5032 0.2493 x18

***

Which formula does entry 2 have? AcPr4Nd3Te8